Record 1
Structure and computed powder XRD pattern of SbPb3 (a DFT-relaxed cell (GGA-PBE, the Materials Project); Cu Kα).

Largest 10 diffraction maxima, in order of falling intensity, 15° ≤ 2θ ≤ 90°:
| two_theta | Rel. int. |
| --- | --- |
| 32.8 | 100.0 |
| 28.0 | 24.8 |
| 61.3 | 22.6 |
| 49.6 | 21.2 |
| 33.7 | 20.7 |
| 59.7 | 18.4 |
| 60.7 | 17.4 |
| 82.1 | 15.2 |
| 44.4 | 14.6 |
| 81.2 | 7.9 |

Crystal structure
a = 7.356 Å, b = 7.356 Å, c = 5.318 Å
α = 90.00°, β = 90.00°, γ = 120.00°
Fractional positions:
Sb 0.333 0.667 0.250
Sb 0.667 0.333 0.750
Pb 0.170 0.340 0.750
Pb 0.170 0.830 0.750
Pb 0.340 0.170 0.250
Pb 0.660 0.830 0.750
Pb 0.830 0.170 0.250
Pb 0.830 0.660 0.250


Record 2
Structure and computed powder XRD pattern of Na3Nd9B8O27 (a DFT-relaxed cell (GGA-PBE, the Materials Project); Cu Kα).

Largest 10 diffraction maxima, in order of falling intensity, 15° ≤ 2θ ≤ 90°:
| two_theta | Rel. int. |
| --- | --- |
| 29.1 | 100.0 |
| 46.3 | 42.3 |
| 20.1 | 41.1 |
| 35.2 | 40.6 |
| 22.7 | 26.0 |
| 56.2 | 21.6 |
| 59.5 | 19.8 |
| 40.9 | 18.2 |
| 42.3 | 13.5 |
| 69.3 | 11.8 |

Crystal structure
a = 8.831 Å, b = 8.831 Å, c = 8.542 Å
α = 90.00°, β = 90.00°, γ = 120.00°
Fractional positions:
Na 0.000 0.336 0.000
Na 0.336 0.000 0.000
Na 0.664 0.664 0.000
Nd 0.000 0.282 0.500
Nd 0.000 0.652 0.235
Nd 0.000 0.652 0.765
Nd 0.282 0.000 0.500
Nd 0.348 0.348 0.235
Nd 0.348 0.348 0.765
Nd 0.652 0.000 0.235
Nd 0.652 0.000 0.765
Nd 0.718 0.718 0.500
B 0.000 0.000 0.210
B 0.000 0.000 0.790
B 0.333 0.667 0.000
B 0.333 0.667 0.324
B 0.333 0.667 0.676
B 0.667 0.333 0.000
B 0.667 0.333 0.324
B 0.667 0.333 0.676
O 0.000 0.157 0.212
O 0.000 0.157 0.788
O 0.000 0.743 0.500
O 0.157 0.000 0.212
O 0.157 0.000 0.788
O 0.178 0.512 0.317
O 0.178 0.512 0.683
O 0.181 0.678 0.000
O 0.257 0.257 0.500
O 0.322 0.503 0.000
O 0.334 0.822 0.317
O 0.334 0.822 0.683
O 0.488 0.666 0.317
O 0.488 0.666 0.683
O 0.497 0.819 0.000
O 0.503 0.322 0.000
O 0.512 0.178 0.317
O 0.512 0.178 0.683
O 0.666 0.488 0.317
O 0.666 0.488 0.683
O 0.678 0.181 0.000
O 0.743 0.000 0.500
O 0.819 0.497 0.000
O 0.822 0.334 0.317
O 0.822 0.334 0.683
O 0.843 0.843 0.212
O 0.843 0.843 0.788


Record 3
Structure and computed powder XRD pattern of B2Pb4O7 (a DFT-relaxed cell (GGA-PBE, the Materials Project); Cu Kα).

Largest 10 diffraction maxima, in order of falling intensity, 15° ≤ 2θ ≤ 90°:
| two_theta | Rel. int. |
| --- | --- |
| 28.0 | 100.0 |
| 24.4 | 92.9 |
| 29.2 | 70.2 |
| 30.8 | 70.0 |
| 26.2 | 52.0 |
| 28.6 | 51.1 |
| 29.7 | 48.0 |
| 25.5 | 40.2 |
| 50.4 | 38.5 |
| 49.6 | 38.4 |

Crystal structure
a = 15.763 Å, b = 7.539 Å, c = 7.539 Å
α = 94.79°, β = 90.00°, γ = 90.00°
Fractional positions:
B 0.008 0.112 0.888
B 0.245 0.879 0.124
B 0.255 0.379 0.624
B 0.492 0.612 0.388
B 0.508 0.388 0.612
B 0.745 0.624 0.379
B 0.755 0.124 0.879
B 0.992 0.888 0.112
Pb 0.082 0.666 0.418
Pb 0.118 0.196 0.288
Pb 0.124 0.539 0.936
Pb 0.200 0.033 0.783
Pb 0.300 0.533 0.283
Pb 0.376 0.039 0.436
Pb 0.382 0.696 0.788
Pb 0.418 0.166 0.918
Pb 0.582 0.918 0.166
Pb 0.618 0.788 0.696
Pb 0.624 0.436 0.039
Pb 0.700 0.283 0.533
Pb 0.800 0.783 0.033
Pb 0.876 0.936 0.539
Pb 0.882 0.288 0.196
Pb 0.918 0.418 0.666
O 0.000 0.425 0.425
O 0.000 0.934 0.934
O 0.030 0.732 0.151
O 0.054 0.233 0.995
O 0.159 0.478 0.223
O 0.234 0.055 0.086
O 0.238 0.337 0.797
O 0.241 0.745 0.985
O 0.259 0.245 0.485
O 0.262 0.837 0.297
O 0.266 0.555 0.586
O 0.341 0.978 0.723
O 0.446 0.733 0.495
O 0.470 0.232 0.651
O 0.500 0.434 0.434
O 0.500 0.925 0.925
O 0.530 0.651 0.232
O 0.554 0.495 0.733
O 0.659 0.723 0.978
O 0.734 0.586 0.555
O 0.738 0.297 0.837
O 0.741 0.485 0.245
O 0.759 0.985 0.745
O 0.762 0.797 0.337
O 0.766 0.086 0.055
O 0.841 0.223 0.478
O 0.946 0.995 0.233
O 0.970 0.151 0.732


Record 4
Structure and computed powder XRD pattern of Ba3CeRu2O9 (a DFT-relaxed cell (GGA-PBE, the Materials Project); Cu Kα).

Largest 10 diffraction maxima, in order of falling intensity, 15° ≤ 2θ ≤ 90°:
| two_theta | Rel. int. |
| --- | --- |
| 29.9 | 100.0 |
| 29.7 | 69.8 |
| 42.7 | 39.6 |
| 53.0 | 26.5 |
| 24.9 | 22.9 |
| 53.2 | 20.0 |
| 62.2 | 18.6 |
| 39.4 | 17.7 |
| 46.3 | 13.9 |
| 70.4 | 12.2 |

Crystal structure
a = 5.967 Å, b = 5.967 Å, c = 14.820 Å
α = 90.00°, β = 90.00°, γ = 120.00°
Fractional positions:
Ba 0.000 0.000 0.250
Ba 0.000 0.000 0.750
Ba 0.333 0.667 0.098
Ba 0.333 0.667 0.402
Ba 0.667 0.333 0.598
Ba 0.667 0.333 0.902
Ce 0.000 0.000 0.000
Ce 0.000 0.000 0.500
Ru 0.333 0.667 0.665
Ru 0.333 0.667 0.835
Ru 0.667 0.333 0.165
Ru 0.667 0.333 0.335
O 0.021 0.511 0.750
O 0.175 0.351 0.588
O 0.175 0.351 0.912
O 0.175 0.825 0.588
O 0.175 0.825 0.912
O 0.351 0.175 0.088
O 0.351 0.175 0.412
O 0.489 0.511 0.750
O 0.489 0.979 0.750
O 0.511 0.021 0.250
O 0.511 0.489 0.250
O 0.649 0.825 0.588
O 0.649 0.825 0.912
O 0.825 0.175 0.088
O 0.825 0.175 0.412
O 0.825 0.649 0.088
O 0.825 0.649 0.412
O 0.979 0.489 0.250


Record 5
Structure and computed powder XRD pattern of RbGdTe4 (a DFT-relaxed cell (GGA-PBE, the Materials Project); Cu Kα).

Largest 10 diffraction maxima, in order of falling intensity, 15° ≤ 2θ ≤ 90°:
| two_theta | Rel. int. |
| --- | --- |
| 30.6 | 100.0 |
| 26.6 | 84.7 |
| 41.5 | 63.1 |
| 32.4 | 39.3 |
| 49.2 | 32.9 |
| 35.0 | 24.2 |
| 57.1 | 22.7 |
| 60.5 | 18.7 |
| 58.2 | 14.4 |
| 34.4 | 12.5 |

Crystal structure
a = 6.880 Å, b = 6.880 Å, c = 9.263 Å
α = 90.00°, β = 90.00°, γ = 90.00°
Fractional positions:
Rb 0.250 0.250 0.000
Rb 0.750 0.750 0.000
Gd 0.250 0.250 0.500
Gd 0.750 0.750 0.500
Te 0.104 0.604 0.298
Te 0.104 0.896 0.702
Te 0.396 0.604 0.702
Te 0.396 0.896 0.298
Te 0.604 0.104 0.702
Te 0.604 0.396 0.298
Te 0.896 0.104 0.298
Te 0.896 0.396 0.702


Record 6
Structure and computed powder XRD pattern of Ba4PrYCu6O14 (a DFT-relaxed cell (GGA-PBE, the Materials Project); Cu Kα).

Largest 10 diffraction maxima, in order of falling intensity, 15° ≤ 2θ ≤ 90°:
| two_theta | Rel. int. |
| --- | --- |
| 32.4 | 100.0 |
| 32.0 | 46.8 |
| 57.3 | 38.0 |
| 57.9 | 17.1 |
| 46.0 | 14.9 |
| 67.8 | 14.5 |
| 46.9 | 13.9 |
| 39.8 | 13.1 |
| 45.8 | 10.2 |
| 22.5 | 8.7 |

Crystal structure
a = 12.494 Å, b = 12.494 Å, c = 3.950 Å
α = 90.00°, β = 90.00°, γ = 143.90°
Fractional positions:
Ba 0.160 0.840 0.000
Ba 0.340 0.660 0.000
Ba 0.660 0.340 0.000
Ba 0.840 0.160 0.000
Pr 0.000 0.000 0.000
Y 0.500 0.500 0.000
Cu 0.000 0.500 0.500
Cu 0.178 0.328 0.500
Cu 0.328 0.178 0.500
Cu 0.500 0.000 0.500
Cu 0.672 0.822 0.500
Cu 0.822 0.672 0.500
O 0.000 0.500 0.000
O 0.065 0.935 0.500
O 0.079 0.421 0.500
O 0.196 0.322 0.000
O 0.322 0.196 0.000
O 0.421 0.079 0.500
O 0.440 0.560 0.500
O 0.500 0.000 0.000
O 0.560 0.440 0.500
O 0.579 0.921 0.500
O 0.678 0.804 0.000
O 0.804 0.678 0.000
O 0.921 0.579 0.500
O 0.935 0.065 0.500